1.
For GaRe, a cell relaxed with GGA-PBE gives the computed powder X-ray diffraction pattern in this record (a wavelength of 1.5418 Å).
Lines closer than 0.1° are merged.

Atomic structure:
```
data_GaRe
_cell_length_a 2.8526
_cell_length_b 2.8526
_cell_length_c 26.7979
_cell_angle_alpha 90.00
_cell_angle_beta 90.00
_cell_angle_gamma 120.00
_symmetry_space_group_name_H-M 'R 3 m'
_symmetry_Int_Tables_number 160
_symmetry_space_group_name_Hall 'R 3 -2"'
loop_
_atom_site_label
_atom_site_fract_x
_atom_site_fract_y
_atom_site_fract_z
Ga1 0.0000 0.0000 0.0000
Ga2 0.0000 0.0000 0.0933
Re1 0.0000 0.0000 0.2523
Re2 0.0000 0.0000 0.5081
```

Top 10 peaks for 10 to 90 degrees two-theta, in order of rising 2θ:
(1 0 1), 2θ = 36.53°, I 36; (1 0 4), 2θ = 38.85°, I 100; (0 1 5), 2θ = 40.19°, I 34; (0 0 12), 2θ = 40.39°, I 46; (1 0 7), 2θ = 43.60°, I 50; (0 1 8), 2θ = 45.63°, I 72; (0 1 11), 2θ = 52.77°, I 19; (1 1 0), 2θ = 65.44°, I 36; (1 0 16), 2θ = 67.57°, I 16; (1 1 12), 2θ = 79.78°, I 38

---

2.
For Ga6Re, a cell relaxed with GGA-PBE gives the computed powder X-ray diffraction pattern in this record (a wavelength of 1.5418 Å).
Lines closer than 0.1° are merged.

Atomic structure:
```
data_Ga6Re
_cell_length_a 7.672
_cell_length_b 6.684
_cell_length_c 9.248
_cell_angle_alpha 90.00
_cell_angle_beta 90.00
_cell_angle_gamma 90.00
_symmetry_space_group_name_H-M 'C m c m'
_symmetry_Int_Tables_number 63
_symmetry_space_group_name_Hall '-C 2c 2'
loop_
_atom_site_label
_atom_site_fract_x
_atom_site_fract_y
_atom_site_fract_z
Ga1 0.000 0.113 0.104
Ga2 0.175 0.500 0.000
Ga3 0.180 0.223 0.750
Re1 0.000 0.439 0.250
```

Top 10 peaks for 10 to 90 degrees two-theta, in order of rising 2θ:
(1 1 0), 2θ = 17.60°, I 45; (0 0 2), 2θ = 19.19°, I 30; (1 1 2), 2θ = 26.15°, I 40; (0 0 4), 2θ = 38.95°, I 97; (0 2 3), 2θ = 39.78°, I 43; (2 2 2), 2θ = 40.78°, I 76; (3 1 2), 2θ = 42.61°, I 100; (1 1 4), 2θ = 43.04°, I 75; (1 3 1), 2θ = 43.41°, I 62; (2 2 3), 2θ = 46.55°, I 31

---

3.
For SrGa3Re, a cell relaxed with GGA-PBE gives the computed powder X-ray diffraction pattern in this record (a wavelength of 1.5418 Å).
Lines closer than 0.1° are merged.

Atomic structure:
```
data_SrGa3Re
_cell_length_a 4.890
_cell_length_b 4.890
_cell_length_c 4.890
_cell_angle_alpha 90.00
_cell_angle_beta 90.00
_cell_angle_gamma 90.00
_symmetry_space_group_name_H-M 'P m -3 m'
_symmetry_Int_Tables_number 221
_symmetry_space_group_name_Hall '-P 4 2 3'
loop_
_atom_site_label
_atom_site_fract_x
_atom_site_fract_y
_atom_site_fract_z
Sr1 0.000 0.000 0.000
Ga1 0.000 0.500 0.500
Re1 0.500 0.500 0.500
```

Top 10 peaks for 10 to 90 degrees two-theta, in order of rising 2θ:
(1 0 0), 2θ = 18.14°, I 67; (1 1 0), 2θ = 25.76°, I 81; (2 0 0), 2θ = 36.76°, I 100; (2 1 0), 2θ = 41.28°, I 34; (2 1 1), 2θ = 45.43°, I 36; (2 2 0), 2θ = 52.96°, I 69; (3 0 0), 2θ = 56.45°, I 17; (2 2 2), 2θ = 66.20°, I 23; (3 2 1), 2θ = 72.29°, I 19; (4 2 0), 2θ = 89.66°, I 32

---

What did the first record say?
For GaRe, a cell relaxed with GGA-PBE gives the computed powder X-ray diffraction pattern in this record (a wavelength of 1.5418 Å).
Lines closer than 0.1° are merged.

Atomic structure:
```
data_GaRe
_cell_length_a 2.8526
_cell_length_b 2.8526
_cell_length_c 26.7979
_cell_angle_alpha 90.00
_cell_angle_beta 90.00
_cell_angle_gamma 120.00
_symmetry_space_group_name_H-M 'R 3 m'
_symmetry_Int_Tables_number 160
_symmetry_space_group_name_Hall 'R 3 -2"'
loop_
_atom_site_label
_atom_site_fract_x
_atom_site_fract_y
_atom_site_fract_z
Ga1 0.0000 0.0000 0.0000
Ga2 0.0000 0.0000 0.0933
Re1 0.0000 0.0000 0.2523
Re2 0.0000 0.0000 0.5081
```

Top 10 peaks for 10 to 90 degrees two-theta, in order of rising 2θ:
(1 0 1), 2θ = 36.53°, I 36; (1 0 4), 2θ = 38.85°, I 100; (0 1 5), 2θ = 40.19°, I 34; (0 0 12), 2θ = 40.39°, I 46; (1 0 7), 2θ = 43.60°, I 50; (0 1 8), 2θ = 45.63°, I 72; (0 1 11), 2θ = 52.77°, I 19; (1 1 0), 2θ = 65.44°, I 36; (1 0 16), 2θ = 67.57°, I 16; (1 1 12), 2θ = 79.78°, I 38